# Mg5HgI12
Theoretical powder diffraction line list, Cu Kα, 1.54184 Å. Input: a GGA-PBE-relaxed structure.
Neutral-atom scattering factors, no anomalous dispersion.

Structure:
a = 7.333 Å, b = 7.333 Å, c = 15.498 Å
α = 90.03°, β = 90.03°, γ = 120.02°
Positions (direct):
Mg 0.000 0.000 0.000
Mg 0.166 0.834 0.500
Mg 0.333 0.667 0.000
Mg 0.667 0.333 0.000
Mg 0.834 0.166 0.500
Hg 0.500 0.500 0.500
I 0.000 0.333 0.893
I 0.000 0.667 0.107
I 0.155 0.155 0.611
I 0.155 0.500 0.390
I 0.333 0.000 0.893
I 0.333 0.333 0.107
I 0.500 0.155 0.390
I 0.500 0.845 0.610
I 0.667 0.000 0.107
I 0.667 0.667 0.893
I 0.845 0.500 0.610
I 0.845 0.845 0.389

Main lines, by angle (2θ = 5–70°):
- 2θ 11.4, I = 42
- 2θ 23.0, I = 24
- 2θ 25.0, I = 29
- 2θ 26.9, I = 100
- 2θ 29.9, I = 50
- 2θ 33.7, I = 26
- 2θ 38.0, I = 28
- 2θ 42.8, I = 21
- 2θ 43.1, I = 35
- 2θ 53.0, I = 17